Diffraction record for AcPu2MnO8. The PXRD pattern is simulated, not measured: it uses DFT lattice parameters and positions (GGA+U) and CuKα.

```
data_AcPu2MnO8
_chemical_formula_sum 'Ac1 Pu2 Mn1 O8'
_symmetry_space_group_name_H-M 'P -3'
_symmetry_Int_Tables_number 147
_symmetry_space_group_name_Hall '-P 3'
_cell_length_a 5.3802
_cell_length_b 5.3802
_cell_length_c 6.5743
_cell_angle_alpha 90.00
_cell_angle_beta 90.00
_cell_angle_gamma 120.00
loop_
_atom_site_label
_atom_site_fract_x
_atom_site_fract_y
_atom_site_fract_z
_atom_site_occupancy
Ac1 0.0000 0.0000 0.0000 1
Pu1 0.3333 0.6667 0.3725 1
Mn1 0.0000 0.0000 0.5000 1
O1 0.0820 0.3240 0.6636 1
O2 0.3333 0.6667 0.0788 1
```

Main lines, in order of rising 2θ (15 to 90 degrees two-theta):
two_theta  d_spacing  intensity  index
23.4  3.801  87.6  0 1 1
33.3  2.688  100.0  1 1 0
41.1  2.195  35.5  2 0 1
43.5  2.082  9.2  2 -1 2
47.9  1.901  21.0  0 2 2
53.9  1.700  33.8  1 2 1
59.5  1.553  30.9  3 0 0
59.7  1.550  10.5  0 1 4
74.9  1.268  13.9  3 1 1
79.8  1.202  17.0  1 3 2